[1]
Computed XRD peak list of Ca3Pu2Rh4 for Cu Kα, 1.54184 Å, from the PBE geometry in Alexandria.

Principal peaks in the range 15° ≤ 2θ ≤ 90°, most intense first:
two_theta  I (rel.)
17.09  100.0
39.10  56.3
32.35  52.3
16.14  27.5
40.89  27.1
42.79  25.6
30.92  24.9
29.00  19.8
46.60  17.7
25.33  17.7

Lattice parameters (Å, degrees): 5.9985 5.9985 9.1809 101.17 101.17 41.25
Fractional positions:
Ca  0.0000  0.0000  0.0000
Ca  0.3733  0.3733  0.6120
Ca  0.6267  0.6267  0.3880
Pu  0.3274  0.3274  0.2138
Pu  0.6726  0.6726  0.7862
Rh  0.0886  0.0886  0.6245
Rh  0.2906  0.2906  0.9074
Rh  0.7094  0.7094  0.0926
Rh  0.9114  0.9114  0.3755

=====

[2]
Computed XRD peak list of AcTb4NdEr2 for Cu Kα, 1.54184 Å, from the PBE geometry in Alexandria.

Principal peaks in the range 15° ≤ 2θ ≤ 90°, most intense first:
two_theta  I (rel.)
30.26  100.0
35.17  33.5
60.09  28.5
50.40  24.4
34.91  17.2
59.75  14.7
62.94  12.4
50.58  12.0
82.03  11.9
82.32  5.8

Lattice parameters (Å, degrees): 5.1070 5.1396 10.2014 90.00 90.00 90.00
Fractional positions:
Ac  0.0000  0.0000  0.0000
Tb  0.0000  0.5000  0.2559
Tb  0.0000  0.5000  0.7441
Tb  0.5000  0.0000  0.2574
Tb  0.5000  0.0000  0.7426
Nd  0.5000  0.5000  0.5000
Er  0.0000  0.0000  0.5000
Er  0.5000  0.5000  0.0000

=====

[3]
Computed XRD peak list of CaCl for Cu Kα, 1.54184 Å, from the PBE geometry in Alexandria.

Principal peaks in the range 15° ≤ 2θ ≤ 90°, most intense first:
two_theta  I (rel.)
31.71  100.0
34.74  60.1
19.98  50.3
47.92  40.2
40.40  27.5
60.39  25.5
71.73  21.4
49.95  18.9
54.32  10.4
73.73  9.2

Lattice parameters (Å, degrees): 3.6514 3.6514 8.8890 90.00 90.06 90.00
Fractional positions:
Ca  0.2494  0.2500  0.1770
Ca  0.7506  0.7500  0.8230
Cl  0.2498  0.2500  0.6763
Cl  0.7502  0.7500  0.3237

=====

[4]
Computed XRD peak list of Sc6Tl2HO for Cu Kα, 1.54184 Å, from the PBE geometry in Alexandria.

Principal peaks in the range 15° ≤ 2θ ≤ 90°, most intense first:
two_theta  I (rel.)
34.53  100.0
28.17  43.0
19.57  38.5
39.74  37.5
68.80  25.7
58.24  23.4
27.82  22.1
49.42  19.1
20.06  18.2
40.76  17.4

Lattice parameters (Å, degrees): 6.3385 6.3385 6.3385 119.20 119.20 91.39
Fractional positions:
Sc  0.2420  0.2420  0.0000
Sc  0.2561  0.2561  0.5122
Sc  0.2561  0.7439  0.0000
Sc  0.7439  0.2561  0.0000
Sc  0.7439  0.7439  0.4878
Sc  0.7580  0.7580  0.0000
Tl  0.2500  0.7500  0.5000
Tl  0.7500  0.2500  0.5000
H  0.0000  0.0000  0.0000
O  0.5000  0.5000  0.0000